Diffraction record for Zn2CrWO6. The powder XRD pattern is computed, not measured: it uses DFT lattice parameters and positions (PBE+U) and λ = 1.5418 Å (Cu Kα).

Crystal structure
```
data_Zn2CrWO6
_chemical_formula_sum 'Zn4 Cr2 W2 O12'
_space_group_name_H-M_alt 'P 1'
_space_group_IT_number 1
_space_group_name_Hall 'P 1'
_cell_length_a 5.242
_cell_length_b 5.542
_cell_length_c 7.638
_cell_angle_alpha 85.27
_cell_angle_beta 89.95
_cell_angle_gamma 89.95
loop_
_atom_site_label
_atom_site_type_symbol
_atom_site_fract_x
_atom_site_fract_y
_atom_site_fract_z
Zn1 Zn 0.000 0.000 0.000
Zn2 Zn 0.001 0.085 0.541
Zn3 Zn 0.499 0.563 0.033
Zn4 Zn 0.503 0.495 0.498
Cr1 Cr 0.002 0.554 0.277
Cr2 Cr 0.500 0.056 0.778
W1 W 0.000 0.553 0.774
W2 W 0.501 0.048 0.276
O1 O 0.126 0.571 0.023
O2 O 0.179 0.875 0.718
O3 O 0.197 0.246 0.346
O4 O 0.314 0.373 0.709
O5 O 0.323 0.737 0.336
O6 O 0.367 0.057 0.028
O7 O 0.631 0.064 0.526
O8 O 0.676 0.371 0.221
O9 O 0.692 0.741 0.848
O10 O 0.812 0.865 0.212
O11 O 0.816 0.239 0.842
O12 O 0.877 0.542 0.529
```

The 10 most intense peaks (5 to 70 degrees two-theta), low angle first:
hkl 1 0 -1, 2θ 20.6, 4.313 Å, intensity 68
hkl 0 0 2, 2θ 23.4, 3.803 Å, intensity 30
hkl 1 1 2, 2θ 32.3, 2.769 Å, intensity 86
hkl 0 2 0, 2θ 32.4, 2.761 Å, intensity 43
hkl 2 0 0, 2θ 34.3, 2.618 Å, intensity 100
hkl 1 2 1, 2θ 37.8, 2.379 Å, intensity 29
hkl 0 0 4, 2θ 47.8, 1.902 Å, intensity 53
hkl 2 0 4, 2θ 60.1, 1.540 Å, intensity 30
hkl 1 3 -2, 2θ 60.3, 1.536 Å, intensity 15
hkl 3 1 -2, 2θ 61.3, 1.512 Å, intensity 22